Starting from a GGA+U-relaxed structure, the X-ray powder pattern of CaMg6MnO8 was computed for Cu Kα (λ = 1.5418 Å).

Principal peaks in the range 2θ = 5–70°, by angle:
| Position (°2θ) | Rel. int. | (hkl) |
| --- | --- | --- |
| 10.13 | 3 | 0 0 1 |
| 20.15 | 10 | 1 0 0 |
| 20.33 | 5 | 0 0 2 |
| 28.65 | 4 | 1 1 0 |
| 28.78 | 8 | 1 0 2 |
| 35.38 | 30 | 1 1 2 |
| 40.96 | 100 | 2 0 0 |
| 41.34 | 48 | 0 0 4 |
| 46.10 | 4 | 2 0 2 |
| 50.83 | 3 | 2 1 2 |
| 59.32 | 29 | 2 2 0 |
| 59.60 | 56 | 2 0 4 |

Atomic structure:
```
data_CaMg6MnO8
_chemical_formula_sum 'Ca1 Mg6 Mn1 O8'
_symmetry_space_group_name_H-M 'P 4/m m m'
_symmetry_Int_Tables_number 123
_symmetry_space_group_name_Hall '-P 4 2'
_cell_length_a 4.407
_cell_length_b 4.407
_cell_length_c 8.736
_cell_angle_alpha 90.00
_cell_angle_beta 90.00
_cell_angle_gamma 90.00
loop_
_atom_site_label
_atom_site_fract_x
_atom_site_fract_y
_atom_site_fract_z
_atom_site_occupancy
Ca1 0.000 0.000 0.000 1
Mg1 0.000 0.500 0.255 1
Mg2 0.500 0.500 0.000 1
Mg3 0.500 0.500 0.500 1
Mn1 0.000 0.000 0.500 1
O1 0.000 0.000 0.258 1
O2 0.000 0.500 0.000 1
O3 0.000 0.500 0.500 1
O4 0.500 0.500 0.251 1
```